# 1
Diffraction record for Mg3PN. The powder diffractogram is computed, not measured: it uses a structure optimized by DFT (PBE) and Cu Kα (weighted mean of Kα1 and Kα2).

Cell and atoms:
```
data_Mg3PN
_chemical_formula_sum 'Mg24 P8 N8'
_symmetry_space_group_name_H-M 'C 1 2/c 1'
_symmetry_Int_Tables_number 15
_cell_length_a 11.6199
_cell_length_b 9.7680
_cell_length_c 5.9834
_cell_angle_alpha 90.00
_cell_angle_beta 91.65
_cell_angle_gamma 90.00
loop_
_symmetry_equiv_pos_as_xyz
'x,y,z'
'-x,-y,-z'
'-x,y,-z+1/2'
'x,-y,z+1/2'
'x+1/2,y+1/2,z'
'-x+1/2,-y+1/2,-z'
'-x+1/2,y+1/2,-z+1/2'
'x+1/2,-y+1/2,z+1/2'
loop_
_atom_site_label
_atom_site_fract_x
_atom_site_fract_y
_atom_site_fract_z
Mg1 0.1139 0.1103 0.1159
Mg2 0.1419 0.2277 0.5503
Mg3 0.1466 0.4749 0.9481
P1 0.0000 0.0950 0.7500
P2 0.0000 0.3498 0.2500
N1 0.2396 0.3890 0.6753
```

The 6 most intense peaks (2θ = 10–90°), in order of rising 2θ:
index	Position (°2θ)	d_spacing	I_rel
2 2 -1	27.9	3.197	100
2 2 1	28.4	3.142	69
2 0 2	34.1	2.628	48
3 3 0	36.0	2.492	54
3 3 -1	38.9	2.315	64
0 4 2	48.1	1.891	49

# 2
Diffraction record for Mg2AsIr2. The powder diffractogram is computed, not measured: it uses a structure optimized by DFT (PBE) and Cu Kα (weighted mean of Kα1 and Kα2).

Cell and atoms:
```
data_Mg2AsIr2
_chemical_formula_sum 'Mg4 As2 Ir4'
_symmetry_space_group_name_H-M 'P 4/m b m'
_symmetry_Int_Tables_number 127
_symmetry_space_group_name_Hall '-P 4 2ab'
_cell_length_a 6.3649
_cell_length_b 6.3649
_cell_length_c 4.2773
_cell_angle_alpha 90.00
_cell_angle_beta 90.00
_cell_angle_gamma 90.00
loop_
_atom_site_label
_atom_site_fract_x
_atom_site_fract_y
_atom_site_fract_z
Mg1 0.1599 0.3401 0.0000
As1 0.0000 0.0000 0.5000
Ir1 0.1495 0.6495 0.5000
```

The 6 most intense peaks (2θ = 10–90°), in order of rising 2θ:
index	Position (°2θ)	d_spacing	I_rel
0 0 1	20.8	4.277	86
2 1 0	31.4	2.846	48
2 1 1	38.0	2.370	100
3 1 0	45.0	2.013	28
3 1 1	50.1	1.821	29
2 1 2	53.6	1.710	22

# 3
Diffraction record for Mg7Ga5. The powder diffractogram is computed, not measured: it uses a structure optimized by DFT (PBE) and Cu Kα (weighted mean of Kα1 and Kα2).

Cell and atoms:
```
data_Mg7Ga5
_chemical_formula_sum 'Mg14 Ga10'
_symmetry_space_group_name_H-M 'C 1 2/m 1'
_symmetry_Int_Tables_number 12
_cell_length_a 14.9803
_cell_length_b 3.2605
_cell_length_c 11.8610
_cell_angle_alpha 90.00
_cell_angle_beta 122.88
_cell_angle_gamma 90.00
loop_
_symmetry_equiv_pos_as_xyz
'x,y,z'
'-x,-y,-z'
'-x,y,-z'
'x,-y,z'
'x+1/2,y+1/2,z'
'-x+1/2,-y+1/2,-z'
'-x+1/2,y+1/2,-z'
'x+1/2,-y+1/2,z'
loop_
_atom_site_label
_atom_site_fract_x
_atom_site_fract_y
_atom_site_fract_z
Mg1 0.0000 0.0000 0.0000
Mg2 0.0622 0.5000 0.2618
Mg3 0.1230 0.0000 0.7549
Mg4 0.1768 0.0000 0.5328
Ga1 0.0000 0.5000 0.5000
Ga2 0.1635 0.5000 0.9889
Ga3 0.2066 0.0000 0.2239
```

The 6 most intense peaks (2θ = 10–90°), in order of rising 2θ:
index	Position (°2θ)	d_spacing	I_rel
2 0 1	20.4	4.357	14
1 1 2	35.7	2.516	14
0 0 4	36.1	2.490	37
3 1 -3	36.3	2.472	100
3 1 1	38.9	2.312	52
3 1 -7	63.3	1.470	21

# 4
Diffraction record for Li2Ho2Pt3. The powder diffractogram is computed, not measured: it uses a structure optimized by DFT (PBE) and Cu Kα (weighted mean of Kα1 and Kα2).

Cell and atoms:
```
data_Li2Ho2Pt3
_chemical_formula_sum 'Li2 Ho2 Pt3'
_symmetry_space_group_name_H-M 'P -1'
_symmetry_Int_Tables_number 2
_cell_length_a 4.7935
_cell_length_b 4.7938
_cell_length_c 7.5038
_cell_angle_alpha 108.44
_cell_angle_beta 90.14
_cell_angle_gamma 119.96
loop_
_symmetry_equiv_pos_as_xyz
'x,y,z'
'-x,-y,-z'
loop_
_atom_site_label
_atom_site_fract_x
_atom_site_fract_y
_atom_site_fract_z
Li1 0.1317 0.2617 0.3946
Ho1 0.3890 0.7766 0.1664
Pt1 0.0000 0.0000 0.0000
Pt2 0.2533 0.5088 0.7610
```

The 6 most intense peaks (2θ = 10–90°), in order of rising 2θ:
index	Position (°2θ)	d_spacing	I_rel
0 0 1	12.7	6.982	75
1 0 -2	30.3	2.952	28
2 -1 0	37.5	2.397	100
1 -2 0	39.8	2.267	29
0 1 2	40.7	2.216	44
1 -1 3	40.8	2.211	22

# 5
Diffraction record for Pr2TlRh3O8. The powder diffractogram is computed, not measured: it uses a structure optimized by DFT (PBE) and Cu Kα (weighted mean of Kα1 and Kα2).

Cell and atoms:
```
data_Pr2TlRh3O8
_chemical_formula_sum 'Pr6 Tl3 Rh9 O24'
_symmetry_space_group_name_H-M 'R 3 m'
_symmetry_Int_Tables_number 160
_symmetry_space_group_name_Hall 'R 3 -2"'
_cell_length_a 6.6544
_cell_length_b 6.6544
_cell_length_c 16.2720
_cell_angle_alpha 90.00
_cell_angle_beta 90.00
_cell_angle_gamma 120.00
loop_
_atom_site_label
_atom_site_fract_x
_atom_site_fract_y
_atom_site_fract_z
Pr1 0.0000 0.0000 0.0000
Pr2 0.0000 0.0000 0.3774
Tl1 0.0000 0.0000 0.7565
Rh1 0.1690 0.3380 0.2124
O1 0.0000 0.0000 0.1503
O2 0.0000 0.0000 0.6014
O3 0.0415 0.5208 0.1496
O4 0.1795 0.3590 0.9454
```

The 6 most intense peaks (2θ = 10–90°), in order of rising 2θ:
index	Position (°2θ)	d_spacing	I_rel
1 1 0	26.8	3.326	43
0 1 5	31.6	2.836	100
2 0 2	33.0	2.715	16
0 1 8	47.4	1.920	17
1 2 5	50.4	1.810	40
2 2 0	55.2	1.663	36

# 6
Diffraction record for Ce2Pr2Te2Se3. The powder diffractogram is computed, not measured: it uses a structure optimized by DFT (PBE) and Cu Kα (weighted mean of Kα1 and Kα2).

Cell and atoms:
```
data_Ce2Pr2Te2Se3
_chemical_formula_sum 'Ce4 Pr4 Te4 Se6'
_symmetry_space_group_name_H-M 'I 4/m m m'
_symmetry_Int_Tables_number 139
_symmetry_space_group_name_Hall '-I 4 2'
_cell_length_a 5.7884
_cell_length_b 5.7884
_cell_length_c 15.9432
_cell_angle_alpha 90.00
_cell_angle_beta 90.00
_cell_angle_gamma 90.00
loop_
_atom_site_label
_atom_site_fract_x
_atom_site_fract_y
_atom_site_fract_z
Ce1 0.0000 0.5000 0.0000
Pr1 0.0000 0.0000 0.1971
Te1 0.0000 0.0000 0.3963
Se1 0.0000 0.0000 0.0000
Se2 0.0000 0.5000 0.2500
```

The 6 most intense peaks (2θ = 10–90°), in order of rising 2θ:
index	Position (°2θ)	d_spacing	I_rel
2 0 0	30.9	2.894	100
1 1 4	31.3	2.856	44
1 0 5	32.0	2.793	61
2 2 0	44.3	2.046	37
2 1 5	45.1	2.010	47
3 1 4	55.2	1.663	18